The following is a theoretical powder X-ray diffraction pattern of KTi2P3O12. It was derived from a cell relaxed with GGA-PBE, using Cu Kα, 1.54184 Å.
Kinematic intensities with the Lorentz-polarization factor, no thermal factor.

Structural model:
Cell: 8.4944 8.4944 23.3576 Å, 90.00 90.00 120.00°
Space group R-3c (No. 167, hexagonal axes)
One atom of each set of equivalent atoms:
1 K 0.0000 0.0000 0.0000
2 Ti 0.0000 0.0000 0.1495
3 P 0.0000 0.2819 0.2500
4 O 0.0303 0.1983 0.9016
5 O 0.0534 0.2082 0.1975

Main lines, in order of rising 2θ (2θ from 10° to 90°):
d_spacing	2theta	Rel. int.
6.224	14.23	14.6
4.247	20.92	46.2
3.729	23.87	100.0
3.112	28.68	21.8
2.870	31.17	75.9
2.761	32.43	10.2
2.452	36.65	16.7
2.075	43.62	10.3
1.864	48.85	23.9
1.605	57.40	14.1

The following is a theoretical powder X-ray diffraction pattern of KU2P3O12. It was derived from a cell relaxed with GGA-PBE, using Cu Kα, 1.54184 Å.
Kinematic intensities with the Lorentz-polarization factor, no thermal factor.

Structural model:
Cell: 17.6381 6.8287 8.0828 Å, 90.00 102.13 90.00°
Space group Cc (No. 9)
One atom of each set of equivalent atoms:
1 K 0.0000 0.0998 0.0000
2 U 0.1461 0.4059 0.7491
3 U 0.3376 0.0935 0.6753
4 P 0.1824 0.0906 0.3950
5 P 0.3012 0.4094 0.0290
6 P 0.4917 0.0972 0.9619
7 O 0.0195 0.2804 0.6247
8 O 0.0643 0.4678 0.9563
9 O 0.1329 0.0964 0.8644
10 O 0.1449 0.2584 0.2793
11 O 0.1947 0.1532 0.5854
12 O 0.2154 0.4512 0.0419
13 O 0.2680 0.0490 0.3820
14 O 0.2884 0.3464 0.8384
15 O 0.3380 0.2404 0.1437
16 O 0.3503 0.4031 0.5593
17 O 0.4194 0.0321 0.4679
18 O 0.4645 0.2207 0.8000

Main lines, in order of rising 2θ (2θ from 10° to 90°):
d_spacing	2theta	Rel. int.
8.622	10.26	52.6
6.349	13.95	85.3
5.148	17.23	40.4
4.772	18.59	42.6
4.397	20.19	70.3
3.336	26.72	39.2
3.276	27.22	67.1
3.028	29.50	100.0
2.873	31.13	56.4
2.729	32.82	47.3

Please write out number 1 again, unchanged.
The following is a theoretical powder X-ray diffraction pattern of KTi2P3O12. It was derived from a cell relaxed with GGA-PBE, using Cu Kα, 1.54184 Å.
Kinematic intensities with the Lorentz-polarization factor, no thermal factor.

Structural model:
Cell: 8.4944 8.4944 23.3576 Å, 90.00 90.00 120.00°
Space group R-3c (No. 167, hexagonal axes)
One atom of each set of equivalent atoms:
1 K 0.0000 0.0000 0.0000
2 Ti 0.0000 0.0000 0.1495
3 P 0.0000 0.2819 0.2500
4 O 0.0303 0.1983 0.9016
5 O 0.0534 0.2082 0.1975

Main lines, in order of rising 2θ (2θ from 10° to 90°):
d_spacing	2theta	Rel. int.
6.224	14.23	14.6
4.247	20.92	46.2
3.729	23.87	100.0
3.112	28.68	21.8
2.870	31.17	75.9
2.761	32.43	10.2
2.452	36.65	16.7
2.075	43.62	10.3
1.864	48.85	23.9
1.605	57.40	14.1

What did the second record say?
The following is a theoretical powder X-ray diffraction pattern of KU2P3O12. It was derived from a cell relaxed with GGA-PBE, using Cu Kα, 1.54184 Å.
Kinematic intensities with the Lorentz-polarization factor, no thermal factor.

Structural model:
Cell: 17.6381 6.8287 8.0828 Å, 90.00 102.13 90.00°
Space group Cc (No. 9)
One atom of each set of equivalent atoms:
1 K 0.0000 0.0998 0.0000
2 U 0.1461 0.4059 0.7491
3 U 0.3376 0.0935 0.6753
4 P 0.1824 0.0906 0.3950
5 P 0.3012 0.4094 0.0290
6 P 0.4917 0.0972 0.9619
7 O 0.0195 0.2804 0.6247
8 O 0.0643 0.4678 0.9563
9 O 0.1329 0.0964 0.8644
10 O 0.1449 0.2584 0.2793
11 O 0.1947 0.1532 0.5854
12 O 0.2154 0.4512 0.0419
13 O 0.2680 0.0490 0.3820
14 O 0.2884 0.3464 0.8384
15 O 0.3380 0.2404 0.1437
16 O 0.3503 0.4031 0.5593
17 O 0.4194 0.0321 0.4679
18 O 0.4645 0.2207 0.8000

Main lines, in order of rising 2θ (2θ from 10° to 90°):
d_spacing	2theta	Rel. int.
8.622	10.26	52.6
6.349	13.95	85.3
5.148	17.23	40.4
4.772	18.59	42.6
4.397	20.19	70.3
3.336	26.72	39.2
3.276	27.22	67.1
3.028	29.50	100.0
2.873	31.13	56.4
2.729	32.82	47.3